This entry pairs a crystal structure of Na2ZrTcO6 with its simulated powder XRD pattern. Radiation: copper Kα. Structure: a GGA-PBE-relaxed structure.
Intensities are scaled so that the largest is 100.

Largest 10 diffraction maxima, in order of rising 2θ, 2θ = 5–70°:
d = 4.216 Å, I = 50, (0 0 1); d = 3.972 Å, I = 89, (1 1 0); d = 2.891 Å, I = 100, (1 1 1); d = 2.809 Å, I = 48, (2 0 0); d = 2.108 Å, I = 19, (0 0 2); d = 1.986 Å, I = 43, (2 2 0); d = 1.862 Å, I = 19, (1 1 2); d = 1.686 Å, I = 20, (2 0 2); d = 1.637 Å, I = 36, (3 1 1); d = 1.446 Å, I = 20, (2 2 2)

Cell and atoms:
```
data_Na2ZrTcO6
_chemical_formula_sum 'Na2 Zr1 Tc1 O6'
_cell_length_a 5.6179
_cell_length_b 5.6179
_cell_length_c 4.2159
_cell_angle_alpha 90.00
_cell_angle_beta 90.00
_cell_angle_gamma 90.00
_symmetry_space_group_name_H-M 'P 4 m m'
_symmetry_Int_Tables_number 99
loop_
_symmetry_equiv_pos_as_xyz
'x,y,z'
'-y,x,z'
'-x,-y,z'
'y,-x,z'
'-x,y,z'
'y,x,z'
'x,-y,z'
'-y,-x,z'
loop_
_atom_site_label
_atom_site_type_symbol
_atom_site_fract_x
_atom_site_fract_y
_atom_site_fract_z
Na1 Na 0.0000 0.5000 0.0000
Zr1 Zr 0.0000 0.0000 0.5864
Tc1 Tc 0.5000 0.5000 0.5247
O1 O 0.0000 0.0000 0.1044
O2 O 0.2659 0.2659 0.6201
O3 O 0.5000 0.5000 0.1140
```